Diffraction record for Cu5Ni2Pd4. The X-ray diffraction stick pattern is calculated, not measured: it uses a GGA-PBE-relaxed structure and Cu Kα, 1.54184 Å.
Neutral-atom scattering factors, no anomalous dispersion.

Atomic structure:
Unit cell a=8.353 b=8.353 c=6.699 alpha=91.93 beta=91.93 gamma=18.35
Element x y z (fractional)
Cu: 0.000 0.000 0.000
Cu: 0.315 0.315 0.549
Cu: 0.374 0.374 0.902
Cu: 0.626 0.626 0.098
Cu: 0.685 0.685 0.451
Ni: 0.057 0.057 0.372
Ni: 0.943 0.943 0.628
Pd: 0.264 0.264 0.180
Pd: 0.426 0.426 0.283
Pd: 0.574 0.574 0.717
Pd: 0.736 0.736 0.820

The 10 most intense peaks (10° ≤ 2θ ≤ 80°), by intensity:
2theta, Rel. int.
45.58, 100
41.56, 66
46.95, 56
43.31, 46
37.52, 31
74.42, 20
54.04, 14
36.79, 13
32.59, 13
70.73, 13